# Al2P3H11O13
Computed X-ray powder pattern, Cu Kα. Input: a DFT-relaxed cell (PBE, the Materials Project).
No peak broadening, texture or thermal motion is included.

Principal peaks in the range 2θ from 15° to 90°, in order of rising 2θ:
| h k l | d [Å] | I_rel |
| --- | --- | --- |
| 1 1 0 | 5.838 | 44 |
| 1 1 -1 | 5.501 | 53 |
| 1 0 1 | 4.458 | 100 |
| 1 2 -1 | 3.992 | 86 |
| 2 1 -2 | 3.124 | 31 |
| 0 2 2 | 3.033 | 38 |
| 1 3 -1 | 2.985 | 33 |
| 2 2 0 | 2.919 | 28 |
| 1 1 2 | 2.821 | 27 |
| 2 2 -2 | 2.751 | 85 |

Crystal structure
```
Al2P3H11O13
1.0
7.7220 0.0000 0.0000
0.0000 10.0494 0.0000
-3.0344 0.0000 7.6049
Al P H O
4 6 22 26
Direct
0.0639 0.0000 0.0248
0.4127 0.7767 0.6317
0.5873 0.2767 0.3683
0.9361 0.5000 0.9752
0.2187 0.7223 0.9179
0.2459 0.2731 0.9910
0.4558 0.9785 0.3490
0.5442 0.4785 0.6510
0.7541 0.7731 0.0090
0.7813 0.2223 0.0821
0.0512 0.7430 0.4651
0.1044 0.1614 0.3766
0.1276 0.8224 0.3350
0.1704 0.5828 0.2986
0.2338 0.4416 0.2387
0.2630 0.2460 0.5106
0.2857 0.9520 0.7868
0.2933 0.0356 0.6220
0.3502 0.6824 0.0819
0.3656 0.3025 0.9018
0.4601 0.4535 0.7730
0.5399 0.9535 0.2270
0.6344 0.8025 0.0982
0.6498 0.1824 0.9181
0.7067 0.5356 0.3780
0.7143 0.4520 0.2132
0.7370 0.7460 0.4894
0.7662 0.9416 0.7613
0.8296 0.0828 0.7014
0.8724 0.3224 0.6650
0.8956 0.6614 0.6234
0.9488 0.2430 0.5349
0.0439 0.6368 0.8803
0.0778 0.3669 0.9173
0.1358 0.5112 0.2108
0.1568 0.1883 0.5014
0.1626 0.7583 0.4333
0.1847 0.8720 0.9308
0.1963 0.1264 0.9489
0.2431 0.9812 0.2532
0.3037 0.6994 0.7782
0.3368 0.9535 0.6922
0.3516 0.3014 0.1878
0.4658 0.6099 0.5588
0.4895 0.3609 0.5209
0.5105 0.8609 0.4791
0.5342 0.1099 0.4412
0.6484 0.8014 0.8122
0.6632 0.4535 0.3078
0.6963 0.1994 0.2218
0.7569 0.4812 0.7468
0.8037 0.6264 0.0511
0.8153 0.3720 0.0692
0.8374 0.2583 0.5667
0.8432 0.6883 0.4986
0.8642 0.0112 0.7892
0.9222 0.8669 0.0827
0.9561 0.1368 0.1197
```